Entry 1:
Na6Ag2Hg: calculated powder diffractogram (Cu Ka), based on a crystal structure in Alexandria, relaxed with PBE.
Kinematic intensities with the Lorentz-polarization factor, no thermal factor.

Structural model:
```
Na6Ag2Hg
1.0
-4.7218 4.8993 5.4908
4.7218 -4.8993 5.4908
4.7218 4.8993 -5.4908
Na Ag Hg
12 4 2
Direct
0.0381 0.8308 0.2073
0.2477 0.5526 0.3048
0.2477 0.9429 0.6952
0.2843 0.3122 0.5965
0.2843 0.6878 0.9721
0.3765 0.1692 0.2073
0.6235 0.8308 0.7927
0.7157 0.3122 0.0279
0.7157 0.6878 0.4035
0.7523 0.0571 0.3048
0.7523 0.4474 0.6952
0.9619 0.1692 0.7927
0.0000 0.1564 0.1564
0.0000 0.8436 0.8436
0.3730 0.3730 0.0000
0.6270 0.6270 0.0000
0.0000 0.5000 0.5000
0.5000 0.0000 0.5000
```

Top 8 peaks for 15 to 90 degrees two-theta, sorted by position:
2θ (°)  d (Å)  I_rel
16.14  5.491  69
18.11  4.899  100
18.79  4.722  36
24.35  3.656  37
30.94  2.891  44
34.08  2.631  79
35.26  2.546  37
44.78  2.024  48



Entry 2:
Lu2B6Rh: calculated powder diffractogram (Cu Ka), based on a crystal structure in Alexandria, relaxed with PBE.
Kinematic intensities with the Lorentz-polarization factor, no thermal factor.

Structural model:
```
Lu2B6Rh
1.0
9.0666 0.0000 0.0000
0.0000 11.3857 0.0000
0.0000 0.0000 3.5923
Lu B Rh
8 24 4
Direct
0.0558 0.1261 0.0000
0.1786 0.4133 0.0000
0.3214 0.9133 0.0000
0.4442 0.6261 0.0000
0.5558 0.3739 0.0000
0.6786 0.0867 0.0000
0.8214 0.5867 0.0000
0.9442 0.8739 0.0000
0.0190 0.2875 0.5000
0.0527 0.5654 0.5000
0.1084 0.9705 0.5000
0.1326 0.8166 0.5000
0.2054 0.2361 0.5000
0.2497 0.0792 0.5000
0.2503 0.5792 0.5000
0.2946 0.7361 0.5000
0.3674 0.3166 0.5000
0.3916 0.4705 0.5000
0.4473 0.0654 0.5000
0.4810 0.7875 0.5000
0.5190 0.2125 0.5000
0.5527 0.9346 0.5000
0.6084 0.5295 0.5000
0.6326 0.6834 0.5000
0.7054 0.2639 0.5000
0.7497 0.4208 0.5000
0.7503 0.9208 0.5000
0.7946 0.7639 0.5000
0.8674 0.1834 0.5000
0.8916 0.0295 0.5000
0.9473 0.4346 0.5000
0.9810 0.7125 0.5000
0.1393 0.6789 0.0000
0.3607 0.1789 0.0000
0.6393 0.8211 0.0000
0.8607 0.3211 0.0000
```

Top 8 peaks for 15 to 90 degrees two-theta, sorted by position:
2θ (°)  d (Å)  I_rel
24.78  3.592  100
30.61  2.921  40
30.72  2.910  37
39.77  2.266  51
39.87  2.261  45
40.43  2.231  33
41.69  2.166  31
42.18  2.143  34



Entry 3:
Sm2Mg5Ag5: calculated powder diffractogram (Cu Ka), based on a crystal structure in Alexandria, relaxed with PBE.
Kinematic intensities with the Lorentz-polarization factor, no thermal factor.

Structural model:
```
Sm2Mg5Ag5
1.0
4.6789 0.0000 0.0000
0.0000 5.7729 0.0000
0.0000 0.0000 9.7869
Sm Mg Ag
2 5 5
Direct
0.0000 0.0000 0.0000
0.0000 0.5000 0.5000
0.5000 0.0000 0.5000
0.5000 0.2497 0.2395
0.5000 0.2497 0.7605
0.5000 0.7503 0.2395
0.5000 0.7503 0.7605
0.0000 0.0000 0.3329
0.0000 0.0000 0.6671
0.0000 0.5000 0.1700
0.0000 0.5000 0.8300
0.5000 0.5000 0.0000
```

Top 8 peaks for 15 to 90 degrees two-theta, sorted by position:
2θ (°)  d (Å)  I_rel
18.97  4.679  44
30.98  2.886  32
31.50  2.840  37
36.58  2.457  34
37.03  2.428  100
38.48  2.339  28
50.55  1.806  19
59.13  1.562  24



Entry 4:
K6CoS4: calculated powder diffractogram (Cu Ka), based on a crystal structure in Alexandria, relaxed with PBE.
Kinematic intensities with the Lorentz-polarization factor, no thermal factor.

Structural model:
```
K6CoS4
1.0
9.8014 0.0000 0.0000
-4.9007 8.4883 0.0000
0.0000 0.0000 7.7080
K Co S
12 2 8
Direct
0.0588 0.5294 0.0000
0.1466 0.2932 0.6761
0.1466 0.8534 0.6761
0.2932 0.1466 0.1761
0.4706 0.5294 0.0000
0.4706 0.9412 0.0000
0.5294 0.0588 0.5000
0.5294 0.4706 0.5000
0.7068 0.8534 0.6761
0.8534 0.1466 0.1761
0.8534 0.7068 0.1761
0.9412 0.4706 0.5000
0.3333 0.6667 0.3864
0.6667 0.3333 0.8864
0.2003 0.4006 0.2896
0.2003 0.7997 0.2896
0.3333 0.6667 0.6934
0.4006 0.2003 0.7896
0.5994 0.7997 0.2896
0.6667 0.3333 0.1934
0.7997 0.2003 0.7896
0.7997 0.5994 0.7896
```

Top 8 peaks for 15 to 90 degrees two-theta, sorted by position:
2θ (°)  d (Å)  I_rel
15.53  5.706  40
30.17  2.962  100
31.35  2.853  89
33.74  2.656  41
36.54  2.459  33
36.68  2.450  85
52.69  1.737  25
59.56  1.552  30



Entry 5:
CdNi: calculated powder diffractogram (Cu Ka), based on a crystal structure in Alexandria, relaxed with PBE.
Kinematic intensities with the Lorentz-polarization factor, no thermal factor.

Structural model:
```
CdNi
1.0
2.9689 0.0000 0.0000
0.0000 2.9689 0.0000
0.0000 0.0000 7.1910
Cd Ni
2 2
Direct
0.2500 0.2500 0.1705
0.7500 0.7500 0.8295
0.2500 0.2500 0.5860
0.7500 0.7500 0.4140
```

Top 8 peaks for 15 to 90 degrees two-theta, sorted by position:
2θ (°)  d (Å)  I_rel
32.63  2.744  32
37.52  2.397  15
39.36  2.289  100
43.09  2.099  52
48.83  1.865  12
58.44  1.579  16
62.57  1.484  16
76.48  1.246  26



Entry 6:
Ti4Ni2Ge5: calculated powder diffractogram (Cu Ka), based on a crystal structure in Alexandria, relaxed with PBE.
Kinematic intensities with the Lorentz-polarization factor, no thermal factor.

Structural model:
```
Ti4Ni2Ge5
1.0
-3.9335 8.1341 2.5711
3.9335 -8.1341 2.5711
3.9335 8.1341 -2.5711
Ti Ni Ge
8 4 10
Direct
0.0597 0.7276 0.7873
0.1411 0.0971 0.2382
0.3589 0.5971 0.9560
0.4403 0.2276 0.6679
0.5597 0.7724 0.3321
0.6411 0.4029 0.0440
0.8589 0.9029 0.7618
0.9403 0.2724 0.2127
0.0473 0.7500 0.2973
0.4527 0.7500 0.7027
0.5473 0.2500 0.2973
0.9527 0.2500 0.7027
0.0847 0.4008 0.4856
0.2147 0.7932 0.0079
0.2500 0.2500 0.0000
0.2853 0.2932 0.5785
0.4153 0.9008 0.3161
0.5847 0.0992 0.6839
0.7147 0.7068 0.4215
0.7500 0.7500 0.0000
0.7853 0.2068 0.9921
0.9153 0.5992 0.5144
```

Top 8 peaks for 15 to 90 degrees two-theta, sorted by position:
2θ (°)  d (Å)  I_rel
38.12  2.361  33
39.27  2.294  52
40.16  2.245  71
40.47  2.229  100
41.98  2.152  37
47.82  1.902  30
52.61  1.740  23
83.11  1.162  26



Entry 7:
Co2Si5W4: calculated powder diffractogram (Cu Ka), based on a crystal structure in Alexandria, relaxed with PBE.
Kinematic intensities with the Lorentz-polarization factor, no thermal factor.

Structural model:
```
Co2Si5W4
1.0
-3.9015 7.6602 2.4377
3.9015 -7.6602 2.4377
3.9015 7.6602 -2.4377
Co Si W
4 10 8
Direct
0.0521 0.2500 0.8021
0.4479 0.2500 0.1979
0.5521 0.7500 0.8021
0.9479 0.7500 0.1979
0.0739 0.0800 0.1540
0.2206 0.7027 0.9233
0.2500 0.7500 0.5000
0.2794 0.2027 0.4821
0.4261 0.5800 0.0061
0.5739 0.4200 0.9939
0.7206 0.7973 0.5179
0.7500 0.2500 0.5000
0.7794 0.2973 0.0767
0.9261 0.9200 0.8460
0.0631 0.7564 0.8195
0.1423 0.3888 0.5311
0.3577 0.8888 0.2465
0.4369 0.2564 0.6932
0.5631 0.7436 0.3068
0.6423 0.1112 0.7535
0.8577 0.6112 0.4689
0.9369 0.2436 0.1805
```

Top 8 peaks for 15 to 90 degrees two-theta, sorted by position:
2θ (°)  d (Å)  I_rel
25.62  3.477  33
29.91  2.988  33
31.85  2.810  81
36.87  2.438  41
41.06  2.198  100
41.57  2.173  56
41.82  2.160  34
42.70  2.117  38



Entry 8:
MgTa2B2Ru5: calculated powder diffractogram (Cu Ka), based on a crystal structure in Alexandria, relaxed with PBE.
Kinematic intensities with the Lorentz-polarization factor, no thermal factor.

Structural model:
```
MgTa2B2Ru5
1.0
9.3242 0.0000 0.0000
0.0000 9.3242 0.0000
0.0000 0.0000 3.0408
Mg Ta B Ru
2 4 4 10
Direct
0.0000 0.0000 0.0000
0.5000 0.5000 0.0000
0.1772 0.3228 0.0000
0.3228 0.8228 0.0000
0.6772 0.1772 0.0000
0.8228 0.6772 0.0000
0.1256 0.6256 0.0000
0.3744 0.1256 0.0000
0.6256 0.8744 0.0000
0.8744 0.3744 0.0000
0.0000 0.5000 0.5000
0.0708 0.7819 0.5000
0.2181 0.0708 0.5000
0.2819 0.5708 0.5000
0.4292 0.2819 0.5000
0.5000 0.0000 0.5000
0.5708 0.7181 0.5000
0.7181 0.4292 0.5000
0.7819 0.9292 0.5000
0.9292 0.2181 0.5000
```

Top 8 peaks for 15 to 90 degrees two-theta, sorted by position:
2θ (°)  d (Å)  I_rel
35.24  2.547  23
36.57  2.457  100
39.86  2.261  96
40.35  2.235  25
41.07  2.198  32
42.72  2.117  72
46.07  1.970  30
75.32  1.262  29



Entry 9:
PmTc2B2: calculated powder diffractogram (Cu Ka), based on a crystal structure in Alexandria, relaxed with PBE.
Kinematic intensities with the Lorentz-polarization factor, no thermal factor.

Structural model:
```
PmTc2B2
1.0
0.0000 4.6114 4.7685
3.4778 0.0000 4.7685
3.4778 4.6114 0.0000
Pm Tc B
2 4 4
Direct
0.1250 0.1250 0.1250
0.8750 0.8750 0.8750
0.2399 0.2399 0.5101
0.4899 0.4899 0.7601
0.5101 0.5101 0.2399
0.7601 0.7601 0.4899
0.1758 0.5742 0.1758
0.4258 0.8242 0.4258
0.5742 0.1758 0.5742
0.8242 0.4258 0.8242
```

Top 8 peaks for 15 to 90 degrees two-theta, sorted by position:
2θ (°)  d (Å)  I_rel
26.90  3.315  16
31.85  2.810  18
32.24  2.777  100
32.45  2.759  83
39.07  2.306  33
42.94  2.106  43
49.66  1.836  25
57.62  1.600  18



Entry 10:
AsIO: calculated powder diffractogram (Cu Ka), based on a crystal structure in Alexandria, relaxed with PBE.
Kinematic intensities with the Lorentz-polarization factor, no thermal factor.

Structural model:
```
AsIO
1.0
7.9032 0.0000 0.0000
0.0000 5.6132 0.0000
-3.6161 0.0000 7.6979
As I O
4 4 4
Direct
0.0339 0.0000 0.1730
0.4661 0.5000 0.8270
0.5339 0.5000 0.1730
0.9661 0.0000 0.8270
0.1611 0.5000 0.2887
0.3389 0.0000 0.7113
0.6611 0.0000 0.2887
0.8389 0.5000 0.7113
0.1675 0.0000 0.0372
0.3325 0.5000 0.9628
0.6675 0.5000 0.0372
0.8325 0.0000 0.9628
```

Top 8 peaks for 15 to 90 degrees two-theta, sorted by position:
2θ (°)  d (Å)  I_rel
22.52  3.948  100
23.11  3.849  57
25.76  3.459  95
31.89  2.807  62
33.21  2.698  42
39.39  2.287  46
41.13  2.195  37
45.30  2.002  38